Starting from a structure optimized by DFT (GGA+U), the powder X-ray diffraction pattern of Cr2CdSiO6 was computed for Cu Kα (λ = 1.5418 Å).

Top 6 peaks for 2θ from 5° to 70°, in order of rising 2θ:
21.08°, intensity 351; 32.78°, intensity 1000; 35.14°, intensity 791; 48.82°, intensity 366; 53.41°, intensity 357; 61.56°, intensity 338

Structure:
a = 5.490 Å, b = 5.490 Å, c = 5.490 Å
α = 55.44°, β = 55.44°, γ = 55.44°
Fractional positions:
Cr 0.000 0.000 0.000
Cr 0.489 0.489 0.489
Cd 0.276 0.276 0.276
Si 0.802 0.802 0.802
O 0.055 0.431 0.735
O 0.181 0.849 0.640
O 0.431 0.735 0.055
O 0.640 0.181 0.849
O 0.735 0.055 0.431
O 0.849 0.640 0.181